(1)
Starting from a structure optimized by DFT (GGA-PBE), the XRD peak list of PtRh3 was calculated for Cu Ka.
Kinematic intensities with the Lorentz-polarization factor, no thermal factor.

Cell and atoms:
Lattice parameters (Å, degrees): 4.743 4.743 4.743 131.71 131.71 70.69
Sites, in units of the cell vectors:
Pt  0.000  0.000  0.000
Rh  0.250  0.750  0.500
Rh  0.500  0.500  0.000
Rh  0.750  0.250  0.500

Top 10 peaks for 10° ≤ 2θ ≤ 80°, sorted by position:
2θ/deg, d/Å, I_rel
22.99, 3.869, 3
25.68, 3.469, 9
32.63, 2.744, 2
40.30, 2.238, 100
42.06, 2.148, 3
46.82, 1.940, 32
46.97, 1.934, 16
54.16, 1.693, 3
68.38, 1.372, 10
68.49, 1.370, 21

---

(2)
Starting from a structure optimized by DFT (GGA-PBE), the XRD peak list of Cs2YAgCl6 was calculated for Cu Ka.
Kinematic intensities with the Lorentz-polarization factor, no thermal factor.

Cell and atoms:
Lattice parameters (Å, degrees): 7.685 7.685 7.685 60.00 60.00 60.00
Sites, in units of the cell vectors:
Cs  0.250  0.250  0.250
Cs  0.750  0.750  0.750
Y  0.000  0.000  0.000
Ag  0.500  0.500  0.500
Cl  0.244  0.244  0.756
Cl  0.244  0.756  0.244
Cl  0.244  0.756  0.756
Cl  0.756  0.244  0.244
Cl  0.756  0.244  0.756
Cl  0.756  0.756  0.244

Top 10 peaks for 10° ≤ 2θ ≤ 80°, sorted by position:
2θ/deg, d/Å, I_rel
23.15, 3.842, 100
28.45, 3.137, 20
32.97, 2.717, 61
40.67, 2.218, 46
47.31, 1.921, 42
53.31, 1.718, 21
58.87, 1.569, 14
64.12, 1.452, 24
74.01, 1.281, 12
78.76, 1.215, 18

---

(3)
Starting from a structure optimized by DFT (GGA-PBE), the XRD peak list of Co3Sn was calculated for Cu Ka.
Kinematic intensities with the Lorentz-polarization factor, no thermal factor.

Cell and atoms:
Lattice parameters (Å, degrees): 5.319 5.319 4.231 90.00 90.00 120.00
Sites, in units of the cell vectors:
Co  0.158  0.316  0.250
Co  0.158  0.842  0.250
Co  0.316  0.158  0.750
Co  0.684  0.842  0.250
Co  0.842  0.158  0.750
Co  0.842  0.684  0.750
Sn  0.333  0.667  0.750
Sn  0.667  0.333  0.250

Top 10 peaks for 10° ≤ 2θ ≤ 80°, sorted by position:
2θ/deg, d/Å, I_rel
28.65, 3.116, 16
33.70, 2.660, 6
39.11, 2.303, 25
42.74, 2.116, 26
44.80, 2.023, 100
55.50, 1.656, 3
59.31, 1.558, 14
70.86, 1.330, 16
78.14, 1.223, 3
79.72, 1.203, 18

---

(4)
Starting from a structure optimized by DFT (GGA-PBE), the XRD peak list of InS2 was calculated for Cu Ka.
Kinematic intensities with the Lorentz-polarization factor, no thermal factor.

Cell and atoms:
Lattice parameters (Å, degrees): 3.653 3.653 9.122 90.00 90.00 90.00
Sites, in units of the cell vectors:
In  0.250  0.250  0.209
In  0.750  0.750  0.791
S  0.250  0.250  0.864
S  0.250  0.750  0.500
S  0.750  0.250  0.500
S  0.750  0.750  0.136

Top 10 peaks for 10° ≤ 2θ ≤ 80°, sorted by position:
2θ/deg, d/Å, I_rel
19.46, 4.561, 34
26.28, 3.391, 100
29.37, 3.041, 52
34.73, 2.583, 44
36.15, 2.485, 40
38.52, 2.337, 49
40.12, 2.247, 82
49.94, 1.826, 38
57.30, 1.608, 23
59.00, 1.566, 25

---

(5)
Starting from a structure optimized by DFT (GGA-PBE), the XRD peak list of RbScBP2HO9 was calculated for Cu Ka.
Kinematic intensities with the Lorentz-polarization factor, no thermal factor.

Cell and atoms:
Lattice parameters (Å, degrees): 5.398 8.519 8.519 87.25 86.56 80.30
Sites, in units of the cell vectors:
Rb  0.221  0.122  0.326
Rb  0.779  0.878  0.674
Sc  0.221  0.199  0.808
Sc  0.779  0.801  0.192
B  0.384  0.561  0.725
B  0.616  0.439  0.275
P  0.289  0.805  0.938
P  0.309  0.695  0.417
P  0.691  0.305  0.583
P  0.711  0.195  0.062
H  0.084  0.517  0.866
H  0.916  0.483  0.134
O  0.040  0.750  0.998
O  0.064  0.787  0.355
O  0.215  0.456  0.799
O  0.230  0.953  0.825
O  0.247  0.660  0.596
O  0.378  0.531  0.335
O  0.452  0.668  0.840
O  0.453  0.836  0.069
O  0.472  0.210  0.604
O  0.528  0.790  0.396
O  0.547  0.164  0.931
O  0.548  0.332  0.160
O  0.622  0.469  0.665
O  0.753  0.340  0.404
O  0.770  0.047  0.175
O  0.785  0.544  0.201
O  0.936  0.213  0.645
O  0.960  0.250  0.002

Top 10 peaks for 10° ≤ 2θ ≤ 80°, sorted by position:
2θ/deg, d/Å, I_rel
10.54, 8.391, 40
21.18, 4.195, 48
24.76, 3.596, 38
26.16, 3.406, 63
26.85, 3.320, 62
27.57, 3.235, 100
30.31, 2.949, 41
30.51, 2.930, 30
31.11, 2.875, 25
33.69, 2.660, 52